Structure and theoretical PXRD pattern of LaNdGa2Au2 (a PBE-relaxed structure; CuKα).
Intensities are scaled so that the largest is 100.

Main lines, low angle first (10° ≤ 2θ ≤ 80°):
- d = 4.002 Å, 22.21 deg, intensity 17, hkl 1 0 0
- d = 3.766 Å, 23.62 deg, intensity 7, hkl 0 0 2
- d = 2.743 Å, 32.65 deg, intensity 100, hkl 1 0 2
- d = 2.311 Å, 38.98 deg, intensity 60, hkl 1 1 0
- d = 1.969 Å, 46.09 deg, intensity 7, hkl 1 1 2
- d = 1.883 Å, 48.34 deg, intensity 10, hkl 0 0 4
- d = 1.767 Å, 51.73 deg, intensity 28, hkl 2 0 2
- d = 1.460 Å, 63.76 deg, intensity 25, hkl 1 1 4
- d = 1.404 Å, 66.63 deg, intensity 26, hkl 2 1 2
- d = 1.334 Å, 70.61 deg, intensity 11, hkl 3 0 0

Structural model:
abc: 4.6211 4.6211 7.5319
angles: 90.00 90.00 120.00
Space group P-6m2 (No. 187)
Symmetry-distinct sites (fractional):
La: 0.0000 0.0000 0.0000
Nd: 0.0000 0.0000 0.5000
Ga: 0.3333 0.6667 0.2812
Au: 0.6667 0.3333 0.2433

---

Structure and theoretical PXRD pattern of Pa4Cu3Cl2 (a PBE-relaxed structure; CuKα).
Intensities are scaled so that the largest is 100.

Main lines, low angle first (10° ≤ 2θ ≤ 80°):
- d = 4.054 Å, 21.92 deg, intensity 53, hkl 1 0 1
- d = 3.511 Å, 25.37 deg, intensity 31, hkl 2 0 0
- d = 3.111 Å, 28.70 deg, intensity 30, hkl 0 1 0
- d = 2.654 Å, 33.77 deg, intensity 38, hkl 3 0 -1
- d = 2.468 Å, 36.40 deg, intensity 100, hkl 1 1 1
- d = 2.341 Å, 38.46 deg, intensity 83, hkl 3 0 0
- d = 2.328 Å, 38.67 deg, intensity 46, hkl 2 1 0
- d = 2.019 Å, 44.89 deg, intensity 26, hkl 1 1 2
- d = 1.870 Å, 48.68 deg, intensity 32, hkl 3 1 0
- d = 1.431 Å, 65.22 deg, intensity 33, hkl 5 1 -3

Structural model:
abc: 8.104 3.111 8.106
angles: 90.00 119.91 90.00
Space group Pm (No. 6)
Symmetry-distinct sites (fractional):
Pa: 0.000 0.000 0.000
Pa: 0.022 0.000 0.386
Pa: 0.363 0.000 0.977
Pa: 0.614 0.000 0.637
Cu: 0.305 0.500 0.281
Cu: 0.719 0.500 0.024
Cu: 0.976 0.500 0.695
Cl: 0.333 0.500 0.666
Cl: 0.666 0.000 0.333

---

Structure and theoretical PXRD pattern of Nd3BiAs2 (a PBE-relaxed structure; CuKα).
Intensities are scaled so that the largest is 100.

Main lines, low angle first (10° ≤ 2θ ≤ 80°):
- d = 3.556 Å, 25.04 deg, intensity 7, hkl 1 0 1
- d = 3.092 Å, 28.87 deg, intensity 100, hkl 1 0 2
- d = 2.200 Å, 41.02 deg, intensity 34, hkl 0 1 4
- d = 2.173 Å, 41.56 deg, intensity 38, hkl 1 1 0
- d = 1.778 Å, 51.40 deg, intensity 20, hkl 0 2 2
- d = 1.546 Å, 59.82 deg, intensity 11, hkl 2 0 4
- d = 1.390 Å, 67.37 deg, intensity 14, hkl 1 1 6
- d = 1.376 Å, 68.15 deg, intensity 18, hkl 2 1 2
- d = 1.260 Å, 75.46 deg, intensity 12, hkl 1 2 4
- d = 1.254 Å, 75.83 deg, intensity 6, hkl 3 0 0

Structural model:
abc: 4.3457 4.3457 10.8498
angles: 90.00 90.00 120.00
Space group P-3m1 (No. 164)
Symmetry-distinct sites (fractional):
Nd: 0.0000 0.0000 0.0000
Nd: 0.3333 0.6667 0.3129
Bi: 0.0000 0.0000 0.5000
As: 0.3333 0.6667 0.8410

---

Structure and theoretical PXRD pattern of Cu3Bi (a PBE-relaxed structure; CuKα).
Intensities are scaled so that the largest is 100.

Main lines, low angle first (10° ≤ 2θ ≤ 80°):
- d = 3.668 Å, 24.26 deg, intensity 26, hkl 1 1 1
- d = 3.177 Å, 28.09 deg, intensity 14, hkl 2 0 0
- d = 2.246 Å, 40.14 deg, intensity 100, hkl 2 2 0
- d = 1.916 Å, 47.46 deg, intensity 14, hkl 3 1 1
- d = 1.834 Å, 49.71 deg, intensity 4, hkl 2 2 2
- d = 1.588 Å, 58.07 deg, intensity 17, hkl 4 0 0
- d = 1.458 Å, 63.86 deg, intensity 6, hkl 3 3 1
- d = 1.421 Å, 65.73 deg, intensity 6, hkl 4 2 0
- d = 1.297 Å, 72.95 deg, intensity 33, hkl 4 2 2
- d = 1.223 Å, 78.17 deg, intensity 5, hkl 5 1 1

Structural model:
abc: 6.353 6.353 6.353
angles: 90.00 90.00 90.00
Space group Fm-3m (No. 225)
Symmetry-distinct sites (fractional):
Cu: 0.000 0.000 0.000
Cu: 0.250 0.250 0.250
Bi: 0.000 0.000 0.500

---

Structure and theoretical PXRD pattern of SrMg2GaAu (a PBE-relaxed structure; CuKα).
Intensities are scaled so that the largest is 100.

Main lines, low angle first (10° ≤ 2θ ≤ 80°):
- d = 6.066 Å, 14.60 deg, intensity 50, hkl 0 0 2
- d = 4.205 Å, 21.13 deg, intensity 82, hkl 1 0 1
- d = 3.170 Å, 28.15 deg, intensity 94, hkl 1 1 0
- d = 3.003 Å, 29.75 deg, intensity 100, hkl 1 0 3
- d = 2.810 Å, 31.85 deg, intensity 75, hkl 1 1 2
- d = 2.242 Å, 40.23 deg, intensity 65, hkl 2 0 0
- d = 2.192 Å, 41.19 deg, intensity 34, hkl 1 1 4
- d = 2.134 Å, 42.35 deg, intensity 82, hkl 1 0 5
- d = 1.796 Å, 50.83 deg, intensity 46, hkl 2 1 3
- d = 1.546 Å, 59.84 deg, intensity 59, hkl 2 1 5

Structural model:
abc: 4.483 4.483 12.133
angles: 90.00 90.00 90.00
Space group I4mm (No. 107)
Symmetry-distinct sites (fractional):
Sr: 0.000 0.000 0.000
Mg: 0.000 0.500 0.251
Ga: 0.000 0.000 0.607
Au: 0.000 0.000 0.390

---

Structure and theoretical PXRD pattern of Ga2Ag2Sn (a PBE-relaxed structure; CuKα).
Intensities are scaled so that the largest is 100.

Main lines, low angle first (10° ≤ 2θ ≤ 80°):
- d = 2.951 Å, 30.29 deg, intensity 11, hkl 0 0 4
- d = 2.868 Å, 31.18 deg, intensity 28, hkl 1 0 3
- d = 2.648 Å, 33.85 deg, intensity 100, hkl 1 1 2
- d = 2.094 Å, 43.21 deg, intensity 60, hkl 2 0 0
- d = 2.057 Å, 44.02 deg, intensity 23, hkl 1 0 5
- d = 1.692 Å, 54.22 deg, intensity 12, hkl 2 1 3
- d = 1.481 Å, 62.72 deg, intensity 13, hkl 2 2 0
- d = 1.468 Å, 63.37 deg, intensity 16, hkl 2 1 5
- d = 1.293 Å, 73.21 deg, intensity 21, hkl 3 1 2
- d = 1.206 Å, 79.44 deg, intensity 10, hkl 2 0 8

Structural model:
abc: 4.190 4.190 11.804
angles: 90.00 90.00 90.00
Space group I4/mmm (No. 139)
Symmetry-distinct sites (fractional):
Ga: 0.000 0.000 0.105
Ag: 0.000 0.500 0.250
Sn: 0.000 0.000 0.500

---

Structure and theoretical PXRD pattern of RbHfTe3Au (a PBE-relaxed structure; CuKα).
Intensities are scaled so that the largest is 100.

Main lines, low angle first (10° ≤ 2θ ≤ 80°):
- d = 8.085 Å, 10.94 deg, intensity 100, hkl 2 0 0
- d = 3.394 Å, 26.26 deg, intensity 14, hkl 2 0 3
- d = 3.184 Å, 28.02 deg, intensity 37, hkl 3 1 1
- d = 3.110 Å, 28.70 deg, intensity 16, hkl 2 1 2
- d = 2.858 Å, 31.30 deg, intensity 43, hkl 3 1 2
- d = 2.645 Å, 33.89 deg, intensity 35, hkl 2 1 3
- d = 2.334 Å, 38.58 deg, intensity 37, hkl 5 1 2
- d = 2.301 Å, 39.15 deg, intensity 13, hkl 4 1 3
- d = 2.108 Å, 42.91 deg, intensity 23, hkl 0 2 0
- d = 1.905 Å, 47.73 deg, intensity 12, hkl 7 1 2

Structural model:
abc: 16.171 4.216 11.218
angles: 90.00 90.00 90.00
Space group Pnma (No. 62)
Symmetry-distinct sites (fractional):
Rb: 0.235 0.250 0.052
Hf: 0.014 0.250 0.318
Te: 0.085 0.250 0.566
Te: 0.102 0.750 0.867
Te: 0.135 0.750 0.270
Au: 0.013 0.750 0.100

---

Structure and theoretical PXRD pattern of GdHoAl (a PBE-relaxed structure; CuKα).
Intensities are scaled so that the largest is 100.

Main lines, low angle first (10° ≤ 2θ ≤ 80°):
- d = 3.848 Å, 23.11 deg, intensity 33, hkl 1 0 2
- d = 3.713 Å, 23.97 deg, intensity 60, hkl 1 1 1
- d = 3.074 Å, 29.05 deg, intensity 49, hkl 1 1 2
- d = 2.764 Å, 32.39 deg, intensity 42, hkl 2 1 0
- d = 2.702 Å, 33.16 deg, intensity 47, hkl 2 0 2
- d = 2.690 Å, 33.30 deg, intensity 100, hkl 0 1 3
- d = 2.654 Å, 33.77 deg, intensity 94, hkl 2 1 1
- d = 2.555 Å, 35.12 deg, intensity 60, hkl 0 2 0
- d = 1.856 Å, 49.07 deg, intensity 32, hkl 2 2 2
- d = 1.535 Å, 60.27 deg, intensity 28, hkl 3 1 4

Structural model:
abc: 6.573 5.111 9.493
angles: 90.00 90.00 90.00
Space group Pnma (No. 62)
Symmetry-distinct sites (fractional):
Gd: 0.028 0.250 0.208
Ho: 0.186 0.250 0.573
Al: 0.210 0.250 0.897